Structure and calculated X-ray powder pattern of NaCa3FeSi8O24 (DFT lattice parameters and positions (GGA+U); Cu Kα, 1.54184 Å).
Lines closer than 0.1° are merged.

Structure:
```
37
Lattice="5.207 0.000 0.000 0.000 9.197 0.000 -1.861 0.000 9.954" Properties=species:S:1:pos:R:3 pbc="T T T"
Na 0.000 0.000 0.000
Ca -0.930 0.494 4.977
Ca 1.673 4.886 4.977
Ca 2.604 5.137 0.000
Fe 2.604 1.799 0.000
Si 0.380 6.500 1.958
Si -0.307 3.358 7.281
Si 1.123 1.791 2.738
Si 0.372 8.296 7.997
Si 2.974 8.296 1.956
Si 2.223 1.791 7.216
Si 3.653 3.358 2.673
Si 2.966 6.500 7.995
O -0.176 2.682 3.289
O -0.878 7.295 8.422
O 0.527 5.131 1.084
O 0.459 6.123 3.542
O -0.103 4.878 6.701
O 1.118 1.802 1.111
O 0.874 0.330 3.423
O 0.391 8.507 6.378
O -0.018 3.240 8.872
O 0.025 0.478 8.787
O 1.640 7.470 1.442
O 0.914 2.517 6.487
O 2.432 2.517 3.467
O 1.707 7.470 8.512
O 3.321 0.478 1.167
O 3.365 3.240 1.082
O 2.956 8.507 3.576
O 2.472 0.330 6.531
O 2.228 1.802 8.842
O 3.449 4.878 3.252
O 2.887 6.123 6.412
O 2.819 5.131 8.870
O 4.224 7.295 1.532
O 3.522 2.682 6.665
```

The 10 most intense peaks (10° ≤ 2θ ≤ 90°), sorted by position:
| (hkl) | Position (°2θ) | intensity |
| --- | --- | --- |
| 0 2 2 | 26.4 | 49 |
| 1 2 -1 | 26.5 | 34 |
| 1 2 1 | 28.6 | 100 |
| 1 1 2 | 28.9 | 47 |
| 1 3 0 | 34.1 | 32 |
| 1 2 -3 | 35.3 | 19 |
| 2 0 -2 | 36.4 | 25 |
| 1 1 -4 | 38.5 | 19 |
| 1 3 2 | 40.3 | 19 |
| 2 2 -2 | 41.6 | 26 |